This entry pairs a crystal structure of Li2Bi2B2O7 with its simulated PXRD pattern. Radiation: Cu Kα. Structure: the PBE geometry in Alexandria.
Lines closer than 0.1° are merged.

Cell and atoms:
Unit cell a=14.661 b=8.659 c=7.836 alpha=90.00 beta=91.00 gamma=90.00
Space group C2 (No. 5)
Symmetry-distinct sites (fractional):
Li1 0.015 0.000 0.252 [4 per cell]
Li2 0.164 0.482 0.805 [4 per cell]
Li3 0.172 0.496 0.267 [4 per cell]
Bi1 0.000 0.292 0.500 [2 per cell]
Bi2 0.000 0.400 0.000 [2 per cell]
Bi3 0.134 0.867 0.529 [4 per cell]
Bi4 0.160 0.786 0.989 [4 per cell]
B1 0.007 0.641 0.305 [4 per cell]
B2 0.154 0.156 0.808 [4 per cell]
B3 0.185 0.163 0.287 [4 per cell]
O1 0.000 0.989 0.500 [2 per cell]
O2 0.033 0.496 0.714 [4 per cell]
O3 0.037 0.776 0.756 [4 per cell]
O4 0.061 0.179 0.783 [4 per cell]
O5 0.091 0.653 0.386 [4 per cell]
O6 0.119 0.549 0.041 [4 per cell]
O7 0.143 0.288 0.360 [4 per cell]
O8 0.146 0.017 0.270 [4 per cell]
O9 0.194 0.015 0.769 [4 per cell]
O10 0.207 0.277 0.870 [4 per cell]
O11 0.224 0.679 0.765 [4 per cell]

Top 10 peaks for 15 to 90 degrees two-theta, by angle:
hkl 1 1 -1, 16.36 deg, I = 22.3
hkl 0 2 0, 20.51 deg, I = 40.8
hkl 3 1 0, 20.87 deg, I = 100.0
hkl 0 0 2, 22.70 deg, I = 35.8
hkl 0 2 2, 30.78 deg, I = 80.5
hkl 3 1 2, 31.27 deg, I = 45.7
hkl 1 3 1, 33.65 deg, I = 26.6
hkl 6 0 0, 36.79 deg, I = 12.7
hkl 6 2 0, 42.47 deg, I = 12.6
hkl 3 3 2, 43.30 deg, I = 17.9



This entry pairs a crystal structure of Mg6HIr3 with its simulated PXRD pattern. Radiation: Cu Kα. Structure: the PBE geometry in Alexandria.
Lines closer than 0.1° are merged.

Cell and atoms:
Unit cell a=4.964 b=4.966 c=7.195 alpha=88.00 beta=85.94 gamma=60.02
Space group P1 (No. 1)
Symmetry-distinct sites (fractional):
Mg1 0.000 0.000 0.000 [1 per cell]
Mg2 0.006 0.627 0.335 [1 per cell]
Mg3 0.333 0.998 0.328 [1 per cell]
Mg4 0.359 0.627 0.667 [1 per cell]
Mg5 0.659 0.999 0.674 [1 per cell]
Mg6 0.687 0.627 0.000 [1 per cell]
H1 0.920 0.150 0.501 [1 per cell]
Ir1 0.017 0.323 0.677 [1 per cell]
Ir2 0.341 0.316 0.002 [1 per cell]
Ir3 0.652 0.324 0.323 [1 per cell]

Top 10 peaks for 15 to 90 degrees two-theta, by angle:
hkl 0 1 0, 20.65 deg, I = 86.0
hkl 1 1 -1, 24.82 deg, I = 100.0
hkl 1 1 2, 31.50 deg, I = 52.1
hkl 0 0 3, 37.59 deg, I = 74.5
hkl 1 2 -1, 38.82 deg, I = 69.8
hkl 0 1 3, 43.27 deg, I = 49.6
hkl 1 2 2, 43.61 deg, I = 49.0
hkl 2 1 -2, 45.99 deg, I = 21.8
hkl 1 0 -4, 56.81 deg, I = 20.4
hkl -1 1 4, 65.23 deg, I = 29.4



This entry pairs a crystal structure of Rb3PmHo2S6 with its simulated PXRD pattern. Radiation: Cu Kα. Structure: the PBE geometry in Alexandria.
Lines closer than 0.1° are merged.

Cell and atoms:
Unit cell a=7.111 b=12.318 c=8.053 alpha=90.00 beta=107.13 gamma=90.00
Space group C2/m (No. 12)
Symmetry-distinct sites (fractional):
Rb1 0.000 0.000 0.000 [2 per cell]
Rb2 0.000 0.334 0.000 [4 per cell]
Pm1 0.000 0.500 0.500 [2 per cell]
Ho1 0.000 0.167 0.500 [4 per cell]
S1 0.223 0.000 0.693 [4 per cell]
S2 0.235 0.330 0.693 [8 per cell]

Top 10 peaks for 15 to 90 degrees two-theta, by angle:
hkl 0 0 2, 23.12 deg, I = 24.2
hkl 2 0 0, 26.22 deg, I = 45.6
hkl 1 3 1, 29.51 deg, I = 100.0
hkl 2 0 2, 40.25 deg, I = 36.6
hkl 0 6 0, 44.11 deg, I = 33.7
hkl 1 3 3, 46.92 deg, I = 14.6
hkl 3 3 1, 50.38 deg, I = 18.9
hkl 4 0 0, 53.97 deg, I = 17.5
hkl 3 3 3, 66.62 deg, I = 13.3
hkl 4 6 0, 72.17 deg, I = 14.6



This entry pairs a crystal structure of LuPuB4 with its simulated PXRD pattern. Radiation: Cu Kα. Structure: the PBE geometry in Alexandria.
Lines closer than 0.1° are merged.

Cell and atoms:
Unit cell a=6.635 b=6.635 c=6.635 alpha=90.00 beta=90.00 gamma=90.00
Space group F-43m (No. 216)
Symmetry-distinct sites (fractional):
Lu1 0.000 0.000 0.000 [4 per cell]
Pu1 0.250 0.250 0.750 [4 per cell]
B1 0.094 0.094 0.406 [16 per cell]

Top 10 peaks for 15 to 90 degrees two-theta, by angle:
hkl 1 1 1, 23.22 deg, I = 100.0
hkl 2 0 0, 26.87 deg, I = 1.5
hkl 2 2 0, 38.37 deg, I = 95.1
hkl 3 1 1, 45.33 deg, I = 63.9
hkl 4 0 0, 55.39 deg, I = 14.9
hkl 3 3 1, 60.86 deg, I = 23.5
hkl 4 2 2, 69.39 deg, I = 33.4
hkl 3 3 3, 74.28 deg, I = 20.7
hkl 4 4 0, 82.19 deg, I = 11.5
hkl 5 3 1, 86.85 deg, I = 19.8



This entry pairs a crystal structure of Hf3NiP3 with its simulated PXRD pattern. Radiation: Cu Kα. Structure: the PBE geometry in Alexandria.
Lines closer than 0.1° are merged.

Cell and atoms:
Unit cell a=10.608 b=3.666 c=11.882 alpha=90.00 beta=90.00 gamma=90.00
Space group Pnma (No. 62)
Symmetry-distinct sites (fractional):
Hf1 0.054 0.250 0.117 [4 per cell]
Hf2 0.141 0.750 0.498 [4 per cell]
Hf3 0.219 0.750 0.778 [4 per cell]
Ni1 0.057 0.250 0.680 [4 per cell]
P1 0.053 0.250 0.349 [4 per cell]
P2 0.126 0.250 0.909 [4 per cell]
P3 0.236 0.750 0.123 [4 per cell]

Top 10 peaks for 15 to 90 degrees two-theta, by angle:
hkl 0 1 1, 25.43 deg, I = 57.8
hkl 1 1 2, 29.85 deg, I = 52.4
hkl 1 1 3, 34.39 deg, I = 65.5
hkl 2 0 4, 34.62 deg, I = 69.4
hkl 3 1 1, 36.09 deg, I = 48.8
hkl 4 0 2, 37.12 deg, I = 41.2
hkl 2 1 3, 37.48 deg, I = 79.1
hkl 4 1 0, 42.05 deg, I = 72.4
hkl 2 1 4, 42.73 deg, I = 100.0
hkl 0 2 0, 49.74 deg, I = 47.5